Computed powder X-ray diffraction pattern of ScTiFe2O6 for Cu Kα, from DFT lattice parameters and positions (GGA+U).
Lines closer than 0.1° are merged.

Most intense lines, 2θ from 15° to 90°, low angle first:
Position (°2θ), d [Å], I (rel.)
23.38, 3.805, 34.1
32.34, 2.768, 100.0
34.24, 2.619, 74.4
39.47, 2.283, 24.3
47.81, 1.902, 40.1
52.58, 1.740, 52.1
60.12, 1.539, 35.1
61.31, 1.512, 36.1

Structure:
a = 5.5539 Å, b = 5.5539 Å, c = 5.5539 Å
α = 56.27°, β = 56.27°, γ = 56.27°
Positions (direct):
Sc: 0.0000 0.0000 0.0000
Ti: 0.4978 0.4978 0.4978
Fe: 0.2127 0.2127 0.2127
Fe: 0.7046 0.7046 0.7046
O: 0.1169 0.4223 0.7699
O: 0.3070 0.8833 0.6151
O: 0.4223 0.7699 0.1169
O: 0.6151 0.3070 0.8833
O: 0.7699 0.1169 0.4223
O: 0.8833 0.6151 0.3070